Diffraction record for SnAs3. The powder X-ray diffraction pattern is simulated, not measured: it uses DFT lattice parameters and positions (GGA-PBE) and Cu Kα X-rays.

Structure:
Cell: 6.9548 6.9548 6.9548 Å, 90.00 90.00 90.00°
Space group Fm-3m (No. 225)
Inequivalent atoms, fractional coordinates:
Sn1 0.0000 0.0000 0.0000 [4 per cell]
As1 0.0000 0.0000 0.5000 [4 per cell]
As2 0.2500 0.2500 0.2500 [8 per cell]

Largest 10 diffraction maxima, by intensity, 15° ≤ 2θ ≤ 90°:
36.54°, I 100, hkl 2 2 0
65.78°, I 36, hkl 4 2 2
52.64°, I 17, hkl 4 0 0
89.02°, I 17, hkl 6 2 0
77.67°, I 11, hkl 4 4 0
22.14°, I 3, hkl 1 1 1
43.14°, I 2, hkl 3 1 1
25.62°, I 2, hkl 2 0 0
57.79°, I 1, hkl 3 3 1
59.43°, I 1, hkl 4 2 0